Record 1
Na6ClO3: calculated X-ray diffraction stick pattern (Cu Kα (weighted mean of Kα1 and Kα2)), based on a GGA-PBE-relaxed structure.
Peak positions follow from Bragg's law for the DFT cell and can differ from measured ones.

Peak list (10 most intense, 10° ≤ 2θ ≤ 90°, in order of rising 2θ)
2theta	intensity
28.85	73
31.05	41
33.43	64
34.28	44
38.06	43
38.31	91
40.65	56
41.99	68
42.69	79
49.15	100

Structure:
```
20
Lattice="4.453 -5.933 0.000 4.453 5.933 0.000 0.000 0.000 6.252" Properties=species:S:1:pos:R:3 pbc="T T T"
Na 4.453 5.769 3.126
Na 2.728 2.509 3.095
Na 4.453 3.280 5.060
Na 3.020 0.271 5.851
Na 3.020 -0.271 2.725
Na 6.178 2.509 3.095
Na 2.728 -2.509 6.221
Na 5.887 0.271 5.851
Na 5.887 -0.271 2.725
Na 4.453 -3.280 1.934
Na 6.178 -2.509 6.221
Na 4.453 -5.769 0.000
Cl 4.453 3.680 1.358
Cl 4.453 -3.680 4.484
O 1.675 1.260 1.357
O 1.675 -1.260 4.483
O 4.453 1.193 4.158
O 4.453 -1.193 1.032
O 7.232 1.260 1.357
O 7.232 -1.260 4.483
```

***

Record 2
Na10Cl4O3: calculated X-ray diffraction stick pattern (Cu Kα (weighted mean of Kα1 and Kα2)), based on a GGA-PBE-relaxed structure.
Peak positions follow from Bragg's law for the DFT cell and can differ from measured ones.

Peak list (10 most intense, 10° ≤ 2θ ≤ 90°, in order of rising 2θ)
2theta	intensity
27.56	29
27.94	33
32.56	54
35.78	97
38.82	48
39.92	100
56.91	54
57.74	29
69.81	24
71.77	24

Structure:
```
17
Lattice="-2.258 2.258 16.237 2.258 -2.258 16.237 2.258 2.258 -16.237" Properties=species:S:1:pos:R:3 pbc="T T T"
Na 2.258 0.000 0.000
Na 0.000 0.000 2.276
Na 2.258 0.000 4.542
Na 0.000 0.000 6.820
Na 2.258 0.000 11.695
Na 0.000 2.258 0.000
Na 0.000 2.258 4.542
Na 0.000 0.000 25.654
Na 0.000 2.258 11.695
Na 0.000 0.000 30.198
Cl 0.000 0.000 9.558
Cl 0.000 0.000 13.968
Cl 0.000 0.000 18.506
Cl 0.000 0.000 22.916
O 0.000 0.000 0.000
O 0.000 0.000 4.557
O 0.000 0.000 27.917
```

***

Record 3
Na4ClO12: calculated X-ray diffraction stick pattern (Cu Kα (weighted mean of Kα1 and Kα2)), based on a GGA-PBE-relaxed structure.
Peak positions follow from Bragg's law for the DFT cell and can differ from measured ones.

Peak list (10 most intense, 10° ≤ 2θ ≤ 90°, in order of rising 2θ)
2theta	intensity
16.08	8
22.82	8
32.50	100
36.46	60
43.45	34
52.51	22
57.97	14
60.58	28
65.61	7
77.46	9

Structure:
```
17
Lattice="-3.897 3.897 3.897 3.897 -3.897 3.897 3.897 3.897 -3.897" Properties=species:S:1:pos:R:3 pbc="T T T"
Na 1.948 1.948 -1.948
Na 1.948 -1.948 1.948
Na -1.948 1.948 1.948
Na 1.948 1.948 1.948
Cl 0.000 0.000 0.000
O 3.255 1.027 0.000
O 4.538 1.027 0.000
O 3.897 -0.641 2.869
O 2.869 3.897 -0.641
O 1.027 0.000 3.255
O 3.897 0.641 2.869
O 0.000 3.255 1.027
O 2.869 3.897 0.641
O 1.027 0.000 4.538
O 0.000 4.538 1.027
O -0.641 2.869 3.897
O 0.641 2.869 3.897
```

***

Record 4
Na6Cl4O: calculated X-ray diffraction stick pattern (Cu Kα (weighted mean of Kα1 and Kα2)), based on a GGA-PBE-relaxed structure.
Peak positions follow from Bragg's law for the DFT cell and can differ from measured ones.

Peak list (10 most intense, 10° ≤ 2θ ≤ 90°, in order of rising 2θ)
2theta	intensity
25.42	32
27.86	60
32.29	14
34.30	20
36.25	35
38.07	100
39.88	26
49.31	30
57.56	21
72.32	13

Structure:
```
22
Lattice="5.547 3.203 4.520 -5.547 3.203 4.520 0.000 -6.405 4.520" Properties=species:S:1:pos:R:3 pbc="T T T"
Na -4.892 -1.490 7.710
Na -1.156 -4.981 5.849
Na -1.156 -1.424 5.450
Na -3.736 3.491 5.849
Na -0.655 1.713 5.450
Na -1.811 0.289 8.108
Na 1.811 -0.289 5.450
Na 0.655 -1.713 8.108
Na 3.736 -3.491 7.710
Na 1.156 1.424 8.108
Na 1.156 4.981 7.710
Na 4.892 1.490 5.849
Cl -3.606 0.159 5.650
Cl 0.000 0.000 3.390
Cl -1.941 -3.043 7.909
Cl 1.665 -3.203 5.650
Cl -1.665 3.203 7.909
Cl 1.941 3.043 5.650
Cl 0.000 0.000 10.169
Cl 3.606 -0.159 7.909
O 0.000 0.000 0.000
O 0.000 0.000 6.779
```

***

Record 5
Na7Cl3O2: calculated X-ray diffraction stick pattern (Cu Kα (weighted mean of Kα1 and Kα2)), based on a GGA-PBE-relaxed structure.
Peak positions follow from Bragg's law for the DFT cell and can differ from measured ones.

Peak list (10 most intense, 10° ≤ 2θ ≤ 90°, in order of rising 2θ)
2theta	intensity
27.47	27
28.01	40
31.98	55
36.41	97
38.45	47
40.02	100
56.71	53
57.89	30
70.34	24
71.65	25

Structure:
```
12
Lattice="-2.253 2.253 11.706 2.253 -2.253 11.706 2.253 2.253 -11.706" Properties=species:S:1:pos:R:3 pbc="T T T"
Na 0.000 0.000 0.000
Na 2.253 0.000 2.272
Na 0.000 0.000 4.550
Na 2.253 0.000 9.434
Na 0.000 2.253 2.272
Na 0.000 0.000 18.862
Na 0.000 2.253 9.434
Cl 0.000 0.000 7.292
Cl 0.000 0.000 11.706
Cl 0.000 0.000 16.120
O 0.000 0.000 2.285
O 0.000 0.000 21.126
```

***

Record 6
Na2OsCl4O2: calculated X-ray diffraction stick pattern (Cu Kα (weighted mean of Kα1 and Kα2)), based on a GGA-PBE-relaxed structure.
Peak positions follow from Bragg's law for the DFT cell and can differ from measured ones.

Peak list (10 most intense, 10° ≤ 2θ ≤ 90°, in order of rising 2θ)
2theta	intensity
14.72	100
15.59	19
16.57	29
17.54	54
18.86	26
23.87	38
26.49	22
29.14	22
36.87	28
38.26	19

Structure:
```
9
Lattice="5.856 -3.639 0.000 5.856 3.639 0.000 -2.534 0.000 5.683" Properties=species:S:1:pos:R:3 pbc="T T T"
Na 2.266 0.000 1.056
Na 6.913 0.000 4.627
Os -1.267 0.000 2.842
Cl 4.313 1.952 1.144
Cl 4.866 1.952 4.540
Cl 4.313 -1.952 1.144
Cl 4.866 -1.952 4.540
O 0.461 0.000 2.525
O 8.718 0.000 3.159
```

***

Record 7
Na2PCl5O: calculated X-ray diffraction stick pattern (Cu Kα (weighted mean of Kα1 and Kα2)), based on a GGA-PBE-relaxed structure.
Peak positions follow from Bragg's law for the DFT cell and can differ from measured ones.

Peak list (10 most intense, 10° ≤ 2θ ≤ 90°, in order of rising 2θ)
2theta	intensity
16.58	45
18.67	9
20.13	15
33.52	100
37.86	58
40.91	19
54.61	17
56.96	25
65.62	20
70.44	12

Structure:
```
9
Lattice="-3.361 3.361 4.412 3.361 -3.361 4.412 3.361 3.361 -4.412" Properties=species:S:1:pos:R:3 pbc="T T T"
Na 3.361 0.000 0.000
Na 0.000 3.361 0.000
P 0.000 0.000 2.396
Cl 1.764 1.764 -2.250
Cl 1.597 -1.597 2.161
Cl 0.000 0.000 0.149
Cl -1.597 1.597 2.161
Cl 1.597 1.597 2.161
O 0.000 0.000 3.902
```

***

Record 8
Na5PCl2O4: calculated X-ray diffraction stick pattern (Cu Kα (weighted mean of Kα1 and Kα2)), based on a GGA-PBE-relaxed structure.
Peak positions follow from Bragg's law for the DFT cell and can differ from measured ones.

Peak list (10 most intense, 10° ≤ 2θ ≤ 90°, in order of rising 2θ)
2theta	intensity
18.08	16
22.92	14
30.40	51
33.18	100
36.68	22
39.54	14
41.52	24
44.41	38
49.65	12
50.32	16

Structure:
```
12
Lattice="7.346 0.000 0.000 0.000 4.570 2.907 0.000 -4.570 2.907" Properties=species:S:1:pos:R:3 pbc="T T T"
Na 0.000 0.000 0.000
Na 2.187 -1.670 2.234
Na 2.187 1.670 2.234
Na 5.159 -1.670 2.234
Na 5.159 1.670 2.234
P 3.673 0.000 5.342
Cl 0.000 -1.705 3.732
Cl 0.000 1.705 3.732
O 2.410 0.000 0.471
O 3.673 -1.271 4.414
O 3.673 1.271 4.414
O 4.936 0.000 0.471
```

***

Record 9
Na9ZrP4ClO16: calculated X-ray diffraction stick pattern (Cu Kα (weighted mean of Kα1 and Kα2)), based on a GGA-PBE-relaxed structure.
Peak positions follow from Bragg's law for the DFT cell and can differ from measured ones.

Peak list (10 most intense, 10° ≤ 2θ ≤ 90°, in order of rising 2θ)
2theta	intensity
10.23	39
10.36	52
19.42	38
23.26	54
23.99	44
28.90	35
30.55	52
32.88	100
33.62	46
33.78	82

Structure:
```
31
Lattice="5.453 0.000 0.000 -0.039 9.146 0.000 -0.282 -3.332 8.649" Properties=species:S:1:pos:R:3 pbc="T T T"
Na 0.000 0.000 0.000
Na -0.094 2.888 3.173
Na 2.156 4.945 0.055
Na 2.152 7.058 3.594
Na 2.533 4.738 6.431
Na 2.818 1.205 1.425
Na 4.638 -0.102 8.307
Na 4.978 5.931 1.656
Na 4.911 6.269 5.312
Zr 2.406 1.323 5.119
P 2.139 -1.436 7.181
P 2.677 4.079 2.856
P 5.047 -0.163 3.413
P 5.178 2.938 6.740
Cl 2.552 7.601 0.761
O -0.134 7.498 3.241
O 0.668 0.461 4.381
O 1.102 -1.420 8.326
O 1.173 2.747 6.121
O 1.319 4.634 2.382
O 1.654 -2.210 5.940
O 2.400 2.603 3.412
O 2.409 0.110 6.826
O 3.316 4.949 3.959
O 3.657 3.892 1.658
O 3.491 -2.009 7.664
O 3.622 -0.063 4.099
O 4.130 2.339 5.730
O 5.029 0.698 2.145
O 4.915 4.441 6.851
O 5.112 2.155 8.058
```

***

Record 10
Na2Pa2Cl2O5: calculated X-ray diffraction stick pattern (Cu Kα (weighted mean of Kα1 and Kα2)), based on a GGA-PBE-relaxed structure.
Peak positions follow from Bragg's law for the DFT cell and can differ from measured ones.

Peak list (10 most intense, 10° ≤ 2θ ≤ 90°, in order of rising 2θ)
2theta	intensity
14.45	30
21.24	100
21.75	26
27.79	41
29.76	37
33.17	39
42.59	22
48.06	24
51.62	16
55.01	16

Structure:
```
11
Lattice="-2.123 2.123 12.258 2.123 -2.123 12.258 2.123 2.123 -12.258" Properties=species:S:1:pos:R:3 pbc="T T T"
Na 0.000 0.000 4.344
Na 0.000 0.000 20.173
Pa 0.000 0.000 10.132
Pa 0.000 0.000 14.385
Cl 0.000 0.000 7.287
Cl 0.000 0.000 17.230
O 2.123 0.000 2.469
O 2.123 0.000 9.789
O 0.000 0.000 12.258
O 0.000 2.123 2.469
O 0.000 2.123 9.789
```

***

Record 11
Na3Pb2S3ClO12: calculated X-ray diffraction stick pattern (Cu Kα (weighted mean of Kα1 and Kα2)), based on a GGA-PBE-relaxed structure.
Peak positions follow from Bragg's law for the DFT cell and can differ from measured ones.

Peak list (10 most intense, 10° ≤ 2θ ≤ 90°, in order of rising 2θ)
2theta	intensity
10.20	68
16.10	81
17.63	33
21.74	44
25.00	50
29.87	100
30.00	63
30.76	44
47.16	43
47.27	38

Structure:
```
42
Lattice="9.983 0.000 0.000 0.000 7.123 0.000 -4.960 0.000 8.737" Properties=species:S:1:pos:R:3 pbc="T T T"
Na -0.003 0.052 2.791
Na -0.003 3.510 2.791
Na -2.544 1.781 8.552
Na 7.567 5.342 0.186
Na 5.026 3.613 5.946
Na 5.026 7.071 5.946
Pb -1.205 5.342 6.494
Pb 3.673 5.342 2.081
Pb 1.350 1.781 6.656
Pb 6.228 1.781 2.243
S -2.215 1.781 5.361
S 1.071 5.342 0.286
S 1.766 5.342 5.091
S 3.257 1.781 3.647
S 3.952 1.781 8.451
S 7.238 5.342 3.376
Cl 4.992 0.000 0.000
Cl 4.992 3.562 0.000
O -4.052 5.342 7.544
O -0.236 5.342 0.986
O -1.385 5.342 4.035
O -1.145 1.781 4.340
O -2.141 0.582 6.249
O -2.141 2.980 6.249
O 1.866 4.134 0.724
O 1.866 6.550 0.724
O 1.863 1.781 3.176
O 1.691 5.342 3.589
O 1.004 4.144 5.586
O 1.004 6.541 5.586
O 4.019 0.582 3.151
O 4.019 2.979 3.151
O 3.332 1.781 5.148
O 3.160 5.342 5.561
O 3.157 0.573 8.013
O 3.157 2.989 8.013
O 7.164 4.143 2.489
O 7.164 6.541 2.489
O 6.168 5.342 4.397
O 6.408 1.781 4.702
O 5.259 1.781 7.751
O 9.075 1.781 1.193
```

***

Question: Number 5 is which compound?
Answer: Na7Cl3O2